Calculated X-ray diffraction stick pattern of La4ThAs5 for Cu Kα (λ = 1.5418 Å), from a GGA-PBE-relaxed structure.
Peak positions follow from Bragg's law for the DFT cell and can differ from measured ones.

Main lines, in order of rising 2θ (15 to 90 degrees two-theta):
25.09 deg, rel. 21, hkl 2 1 1
29.05 deg, rel. 100, hkl 0 0 2
41.55 deg, rel. 76, hkl 1 3 2
49.15 deg, rel. 11, hkl 5 0 1
51.49 deg, rel. 27, hkl 4 2 2
60.21 deg, rel. 13, hkl 0 0 4
68.22 deg, rel. 35, hkl 1 3 4
75.81 deg, rel. 26, hkl 4 2 4

Structure:
a b c (Å): 9.7216 9.7216 6.1459
angles (deg): 90.00 90.00 90.00
Space group I4/m (No. 87)
Asymmetric unit:
La (0.0988, 0.3008, 0.0000) [8 per cell]
Th (0.0000, 0.0000, 0.5000) [2 per cell]
As (0.0000, 0.0000, 0.0000) [2 per cell]
As (0.0979, 0.2938, 0.5000) [8 per cell]